Record 1
For LaCu2Pd6, a GGA-PBE-relaxed structure gives the theoretical powder diffractogram in this record (Cu Kα (λ = 1.5418 Å)).

Atomic structure:
```
LaCu2Pd6
1.0
0.000 5.637 5.637
5.637 0.000 5.637
5.637 5.637 0.000
La Cu Pd
2 4 12
Direct
0.125 0.125 0.125
0.875 0.875 0.875
0.000 0.500 0.500
0.500 0.000 0.500
0.500 0.500 0.000
0.500 0.500 0.500
0.117 0.117 0.633
0.117 0.633 0.117
0.117 0.633 0.633
0.367 0.367 0.883
0.367 0.883 0.367
0.367 0.883 0.883
0.633 0.117 0.117
0.633 0.117 0.633
0.633 0.633 0.117
0.883 0.367 0.367
0.883 0.367 0.883
0.883 0.883 0.367
```

Main lines, most intense first (10 to 90 degrees two-theta):
| Position (°2θ) | Rel. int. |
| --- | --- |
| 45.5 | 100 |
| 31.7 | 68 |
| 84.1 | 31 |
| 26.2 | 27 |
| 75.4 | 21 |
| 56.6 | 17 |
| 41.6 | 16 |
| 66.3 | 15 |

Record 2
For LaTb4SmHo2, a GGA-PBE-relaxed structure gives the theoretical powder diffractogram in this record (Cu Kα (λ = 1.5418 Å)).

Atomic structure:
```
LaTb4SmHo2
1.0
7.173 0.000 0.000
0.000 7.170 0.000
-0.011 0.000 10.126
La Tb Sm Ho
2 8 2 4
Direct
0.000 0.000 0.000
0.500 0.000 0.000
0.248 0.253 0.746
0.248 0.747 0.746
0.249 0.253 0.254
0.249 0.747 0.254
0.751 0.253 0.746
0.751 0.747 0.746
0.752 0.253 0.254
0.752 0.747 0.254
0.500 0.000 0.500
0.500 0.500 0.000
0.000 0.000 0.500
0.000 0.500 0.000
0.000 0.500 0.500
0.500 0.500 0.500
```

Main lines, most intense first (10 to 90 degrees two-theta):
| Position (°2θ) | Rel. int. |
| --- | --- |
| 30.6 | 100 |
| 35.4 | 51 |
| 51.0 | 36 |
| 60.6 | 32 |
| 63.6 | 12 |
| 83.0 | 12 |
| 85.7 | 11 |
| 60.7 | 11 |

Record 3
For La5Tb2Pb, a GGA-PBE-relaxed structure gives the theoretical powder diffractogram in this record (Cu Kα (λ = 1.5418 Å)).

Atomic structure:
```
La5Tb2Pb
1.0
0.000 5.756 6.310
3.702 0.000 6.310
3.702 5.756 0.000
La Tb Pb
5 2 1
Direct
0.000 0.000 0.000
0.018 0.468 0.982
0.417 0.417 0.083
0.468 0.018 0.532
0.917 0.917 0.583
0.427 0.888 0.112
0.888 0.427 0.573
0.494 0.494 0.506
```

Main lines, most intense first (10 to 90 degrees two-theta):
| Position (°2θ) | Rel. int. |
| --- | --- |
| 32.1 | 100 |
| 32.4 | 49 |
| 31.1 | 35 |
| 27.9 | 24 |
| 59.9 | 21 |
| 49.9 | 19 |
| 55.9 | 18 |
| 60.1 | 15 |

Record 4
For Mg2InCuAu4, a GGA-PBE-relaxed structure gives the theoretical powder diffractogram in this record (Cu Kα (λ = 1.5418 Å)).

Atomic structure:
```
Mg2InCuAu4
1.0
2.311 1.334 7.738
-2.311 1.334 7.738
0.000 -2.669 7.738
Mg In Cu Au
2 1 1 4
Direct
0.247 0.247 0.247
0.753 0.753 0.753
0.000 0.000 0.000
0.500 0.500 0.500
0.129 0.129 0.129
0.383 0.383 0.383
0.617 0.617 0.617
0.871 0.871 0.871
```

Main lines, most intense first (10 to 90 degrees two-theta):
| Position (°2θ) | Rel. int. |
| --- | --- |
| 39.0 | 100 |
| 38.3 | 97 |
| 27.1 | 71 |
| 70.1 | 33 |
| 55.8 | 33 |
| 70.6 | 17 |
| 48.1 | 16 |
| 63.5 | 14 |

Record 5
For Cs2NaTcS4, a GGA-PBE-relaxed structure gives the theoretical powder diffractogram in this record (Cu Kα (λ = 1.5418 Å)).

Atomic structure:
```
Cs2NaTcS4
1.0
-3.935 3.935 4.442
3.935 -3.935 4.442
3.935 3.935 -4.442
Cs Na Tc S
2 1 1 4
Direct
0.000 0.000 0.000
0.750 0.250 0.500
0.500 0.500 0.000
0.250 0.750 0.500
0.261 0.087 0.569
0.308 0.739 0.825
0.517 0.692 0.431
0.913 0.483 0.175
```

Main lines, most intense first (10 to 90 degrees two-theta):
| Position (°2θ) | Rel. int. |
| --- | --- |
| 25.7 | 100 |
| 41.6 | 55 |
| 22.6 | 48 |
| 27.3 | 30 |
| 32.2 | 27 |
| 47.0 | 23 |
| 52.0 | 21 |
| 15.0 | 17 |

Record 6
For NaZn2As2, a GGA-PBE-relaxed structure gives the theoretical powder diffractogram in this record (Cu Kα (λ = 1.5418 Å)).

Atomic structure:
```
NaZn2As2
1.0
4.292 -5.758 0.000
4.292 5.758 0.000
-3.297 0.000 4.690
Na Zn As
2 4 4
Direct
0.101 0.899 0.750
0.899 0.101 0.250
0.198 0.481 0.952
0.481 0.198 0.452
0.519 0.802 0.548
0.802 0.519 0.048
0.178 0.822 0.250
0.458 0.542 0.750
0.542 0.458 0.250
0.822 0.178 0.750
```

Main lines, most intense first (10 to 90 degrees two-theta):
| Position (°2θ) | Rel. int. |
| --- | --- |
| 17.4 | 100 |
| 43.1 | 69 |
| 40.3 | 66 |
| 14.8 | 60 |
| 24.5 | 54 |
| 45.4 | 50 |
| 42.3 | 40 |
| 50.9 | 37 |